Theoretical X-ray powder pattern
Compound: KY3F10
Radiation: Cu Kα (λ = 1.5418 Å)
Structure: a GGA-PBE-relaxed structure
No peak broadening, texture or thermal motion is included.

Cell and atoms:
```
14
Lattice="4.4695 2.5804 3.3399 -4.4695 2.5804 3.3399 0.0000 -5.1609 3.3399" Properties=species:S:1:pos:R:3 pbc="T T T"
K 0.0000 0.0000 0.0000
Y 0.0000 -2.4950 6.2163
Y -2.1607 1.2475 6.2163
Y 2.1607 1.2475 6.2163
F -1.2884 -2.6631 4.3912
F -2.9506 0.2157 4.3912
F 0.0000 0.0000 2.7498
F 1.2885 -2.6631 4.3912
F -1.6621 2.4474 4.3912
F -1.2812 -0.7397 6.1453
F 1.2812 -0.7397 6.1453
F 0.0000 1.4795 6.1453
F 2.9506 0.2157 4.3912
F 1.6621 2.4474 4.3912
```

Top 10 peaks for 5 to 70 degrees two-theta, by angle:
two_theta  I/Imax
14.5  27
21.1  20
24.7  100
26.7  24
29.2  55
40.4  22
43.0  28
47.9  28
49.0  43
50.6  19